This entry pairs a crystal structure of CaZn4Si3 with its computed powder XRD pattern. Radiation: Cu Kα. Structure: DFT lattice parameters and positions (GGA-PBE).
Lines closer than 0.1° are merged.

The 10 most intense peaks (2θ from 10° to 90°), low angle first:
hkl, 2θ/deg, I/Imax
0 0 1, 11.40, 36
1 1 0, 29.35, 38
1 1 1, 31.58, 75
0 0 3, 34.68, 28
1 1 2, 37.56, 89
2 0 0, 41.99, 100
1 1 3, 46.05, 91
2 0 3, 55.56, 27
2 2 0, 60.89, 31
3 1 3, 79.61, 34

Structural model:
```
data_CaZn4Si3
_cell_length_a 4.3030
_cell_length_b 4.3030
_cell_length_c 7.7608
_cell_angle_alpha 90.00
_cell_angle_beta 90.00
_cell_angle_gamma 90.00
_symmetry_space_group_name_H-M 'P 4/m m m'
_symmetry_Int_Tables_number 123
_symmetry_space_group_name_Hall '-P 4 2'
loop_
_atom_site_label
_atom_site_type_symbol
_atom_site_fract_x
_atom_site_fract_y
_atom_site_fract_z
Ca1 Ca 0.0000 0.0000 0.0000
Zn1 Zn 0.0000 0.5000 0.3202
Si1 Si 0.0000 0.0000 0.5000
Si2 Si 0.5000 0.5000 0.1511
```

This entry pairs a crystal structure of HfNb14Re with its computed powder XRD pattern. Radiation: Cu Kα. Structure: DFT lattice parameters and positions (GGA-PBE).
Lines closer than 0.1° are merged.

The 10 most intense peaks (2θ from 10° to 90°), low angle first:
hkl, 2θ/deg, I/Imax
0 0 1, 13.41, 3
1 1 1, 23.27, 3
2 2 0, 38.39, 50
2 0 2, 38.49, 100
4 0 0, 55.42, 17
0 0 4, 55.73, 8
4 2 2, 69.50, 34
2 2 4, 69.70, 17
4 4 0, 82.23, 5
4 0 4, 82.49, 11

Structural model:
```
data_HfNb14Re
_cell_length_a 6.6320
_cell_length_b 6.6320
_cell_length_c 6.5974
_cell_angle_alpha 90.00
_cell_angle_beta 90.00
_cell_angle_gamma 90.00
_symmetry_space_group_name_H-M 'P 4/m m m'
_symmetry_Int_Tables_number 123
_symmetry_space_group_name_Hall '-P 4 2'
loop_
_atom_site_label
_atom_site_type_symbol
_atom_site_fract_x
_atom_site_fract_y
_atom_site_fract_z
Hf1 Hf 0.0000 0.0000 0.0000
Nb1 Nb 0.0000 0.0000 0.5000
Nb2 Nb 0.0000 0.5000 0.0000
Nb3 Nb 0.0000 0.5000 0.5000
Nb4 Nb 0.2564 0.2564 0.2490
Nb5 Nb 0.5000 0.5000 0.5000
Re1 Re 0.5000 0.5000 0.0000
```

This entry pairs a crystal structure of Y2Er3 with its computed powder XRD pattern. Radiation: Cu Kα. Structure: DFT lattice parameters and positions (GGA-PBE).
Lines closer than 0.1° are merged.

The 10 most intense peaks (2θ from 10° to 90°), low angle first:
hkl, 2θ/deg, I/Imax
2 6 0, 25.14, 24
4 4 0, 28.42, 71
3 1 1, 31.00, 100
1 5 1, 31.48, 69
2 8 0, 31.93, 63
3 3 1, 32.75, 39
1 7 1, 36.45, 46
6 2 0, 37.50, 26
6 4 0, 39.73, 22
4 6 2, 61.68, 19

Structural model:
```
data_Y2Er3
_cell_length_a 14.6802
_cell_length_b 24.2614
_cell_length_c 3.6107
_cell_angle_alpha 90.00
_cell_angle_beta 90.00
_cell_angle_gamma 90.00
_symmetry_space_group_name_H-M 'F d d 2'
_symmetry_Int_Tables_number 43
_symmetry_space_group_name_Hall 'F 2 -2d'
loop_
_atom_site_label
_atom_site_type_symbol
_atom_site_fract_x
_atom_site_fract_y
_atom_site_fract_z
Y1 Y 0.0672 0.2889 0.0000
Er1 Er 0.0000 0.0000 0.3023
Er2 Er 0.1110 0.1509 0.1073
```

This entry pairs a crystal structure of BaYNi2H8 with its computed powder XRD pattern. Radiation: Cu Kα. Structure: DFT lattice parameters and positions (GGA-PBE).
Lines closer than 0.1° are merged.

The 10 most intense peaks (2θ from 10° to 90°), low angle first:
hkl, 2θ/deg, I/Imax
0 1 2, 22.80, 13
1 0 4, 27.73, 100
0 1 5, 30.94, 12
1 1 0, 36.66, 55
0 1 8, 42.40, 19
1 1 6, 46.20, 11
0 2 4, 46.58, 24
1 0 10, 51.06, 9
3 -1 4, 60.69, 21
3 0 0, 66.01, 10

Structural model:
```
data_BaYNi2H8
_cell_length_a 4.9029
_cell_length_b 4.9029
_cell_length_c 19.7225
_cell_angle_alpha 90.00
_cell_angle_beta 90.00
_cell_angle_gamma 120.00
_symmetry_space_group_name_H-M 'R -3'
_symmetry_Int_Tables_number 148
_symmetry_space_group_name_Hall '-R 3'
loop_
_atom_site_label
_atom_site_type_symbol
_atom_site_fract_x
_atom_site_fract_y
_atom_site_fract_z
Ba1 Ba 0.0000 0.0000 0.0000
Y1 Y 0.0000 0.0000 0.5000
Ni1 Ni 0.0000 0.0000 0.2237
H1 H 0.0000 0.0000 0.3001
H2 H 0.0166 0.6101 0.5556
```

This entry pairs a crystal structure of TbAgCl4 with its computed powder XRD pattern. Radiation: Cu Kα. Structure: DFT lattice parameters and positions (GGA-PBE).
Lines closer than 0.1° are merged.

The 10 most intense peaks (2θ from 10° to 90°), low angle first:
hkl, 2θ/deg, I/Imax
1 0 0, 13.64, 100
0 0 2, 24.68, 10
0 1 1, 25.37, 21
1 0 -2, 26.90, 30
1 1 1, 29.59, 55
2 0 -2, 35.06, 15
2 1 -1, 36.68, 16
2 1 1, 38.80, 24
0 1 3, 43.87, 18
3 1 -1, 48.19, 13

Structural model:
```
data_TbAgCl4
_cell_length_a 6.5317
_cell_length_b 4.0176
_cell_length_c 7.2613
_cell_angle_alpha 90.00
_cell_angle_beta 96.42
_cell_angle_gamma 90.00
_symmetry_space_group_name_H-M 'P 1 2/m 1'
_symmetry_Int_Tables_number 10
_symmetry_space_group_name_Hall '-P 2y'
loop_
_atom_site_label
_atom_site_type_symbol
_atom_site_fract_x
_atom_site_fract_y
_atom_site_fract_z
Tb1 Tb 0.0000 0.0000 0.0000
Ag1 Ag 0.0000 0.5000 0.5000
Cl1 Cl 0.1940 0.0000 0.6987
Cl2 Cl 0.2430 0.5000 0.1426
```

This entry pairs a crystal structure of CrMo with its computed powder XRD pattern. Radiation: Cu Kα. Structure: DFT lattice parameters and positions (GGA-PBE).
Lines closer than 0.1° are merged.

The 10 most intense peaks (2θ from 10° to 90°), low angle first:
hkl, 2θ/deg, I/Imax
0 1 1, 27.70, 13
1 0 1, 41.91, 35
1 1 -1, 42.06, 69
0 2 0, 42.44, 100
1 2 1, 61.20, 21
1 0 -3, 61.33, 10
2 1 0, 76.41, 11
1 1 3, 77.14, 10
1 3 -1, 77.46, 26
0 3 2, 77.69, 10

Structural model:
```
data_CrMo
_cell_length_a 2.6470
_cell_length_b 4.2558
_cell_length_c 4.9994
_cell_angle_alpha 90.00
_cell_angle_beta 99.93
_cell_angle_gamma 90.00
_symmetry_space_group_name_H-M 'P 1 21/m 1'
_symmetry_Int_Tables_number 11
_symmetry_space_group_name_Hall '-P 2yb'
loop_
_atom_site_label
_atom_site_type_symbol
_atom_site_fract_x
_atom_site_fract_y
_atom_site_fract_z
Cr1 Cr 0.1286 0.2500 0.3797
Mo1 Mo 0.3781 0.7500 0.1359
```

This entry pairs a crystal structure of Pu4ZnIr4 with its computed powder XRD pattern. Radiation: Cu Kα. Structure: DFT lattice parameters and positions (GGA-PBE).
Lines closer than 0.1° are merged.

The 10 most intense peaks (2θ from 10° to 90°), low angle first:
hkl, 2θ/deg, I/Imax
1 0 1, 21.86, 13
0 0 2, 38.21, 28
3 0 1, 38.60, 100
3 3 0, 47.91, 25
4 3 1, 60.76, 6
3 3 2, 62.87, 22
3 0 3, 69.33, 18
6 0 0, 70.09, 7
6 0 2, 82.75, 9
3 6 1, 82.99, 15

Structural model:
```
data_Pu4ZnIr4
_cell_length_a 8.0552
_cell_length_b 8.0552
_cell_length_c 4.7108
_cell_angle_alpha 90.00
_cell_angle_beta 90.00
_cell_angle_gamma 90.00
_symmetry_space_group_name_H-M 'I 4/m'
_symmetry_Int_Tables_number 87
_symmetry_space_group_name_Hall '-I 4'
loop_
_atom_site_label
_atom_site_type_symbol
_atom_site_fract_x
_atom_site_fract_y
_atom_site_fract_z
Pu1 Pu 0.1390 0.8409 0.0000
Zn1 Zn 0.0000 0.0000 0.5000
Ir1 Ir 0.0158 0.3373 0.5000
```